Ba3Nd3Co6O17: calculated powder XRD pattern (Cu Kα, 1.54184 Å), based on a PBE+U-relaxed structure.
Kinematic intensities with the Lorentz-polarization factor, no thermal factor.

Cell and atoms:
a b c (Å): 16.256 5.633 9.496
angles (deg): 90.00 123.42 90.00
Space group C2/m (No. 12)
Unique sites:
Ba 0.000 0.000 0.000
Ba 0.167 0.500 0.332
Nd 0.000 0.500 0.500
Nd 0.174 0.000 0.849
Co 0.081 0.000 0.418
Co 0.082 0.500 0.911
Co 0.247 0.500 0.747
O 0.000 0.500 0.000
O 0.009 0.240 0.730
O 0.146 0.235 0.589
O 0.168 0.500 0.835
O 0.175 0.253 0.073
O 0.176 0.000 0.334

The 10 most intense peaks (2θ = 10–90°), by angle:
2θ/deg	d_spacing	Rel. int.
22.33	3.981	13
31.79	2.815	50
32.50	2.755	100
39.77	2.267	17
45.58	1.990	32
47.65	1.908	13
57.06	1.614	29
57.18	1.611	9
58.39	1.580	15
66.42	1.407	9

Li2FeBO4: calculated powder XRD pattern (Cu Kα, 1.54184 Å), based on a PBE+U-relaxed structure.
Kinematic intensities with the Lorentz-polarization factor, no thermal factor.

Cell and atoms:
a b c (Å): 6.445 5.207 10.716
angles (deg): 90.00 94.78 90.00
Space group P2_1/c (No. 14)
Unique sites:
Li 0.095 0.149 0.291
Li 0.216 0.173 0.572
Fe 0.495 0.647 0.653
B 0.195 0.684 0.439
O 0.058 0.697 0.855
O 0.249 0.080 0.926
O 0.288 0.685 0.044
O 0.384 0.160 0.211

The 10 most intense peaks (2θ = 10–90°), by angle:
2θ/deg	d_spacing	Rel. int.
13.79	6.423	100
18.96	4.680	28
23.89	3.724	30
26.95	3.309	94
28.37	3.146	19
31.28	2.859	42
34.43	2.605	58
38.51	2.338	15
55.69	1.651	24
61.69	1.504	23

Ca2AlFeO5: calculated powder XRD pattern (Cu Kα, 1.54184 Å), based on a PBE+U-relaxed structure.
Kinematic intensities with the Lorentz-polarization factor, no thermal factor.

Cell and atoms:
a b c (Å): 5.310 15.043 5.448
angles (deg): 90.00 90.00 90.00
Space group Pnma (No. 62)
Unique sites:
Ca 0.009 0.105 0.019
Al 0.000 0.000 0.500
Fe 0.052 0.250 0.561
O 0.015 0.635 0.558
O 0.082 0.750 0.108
O 0.248 0.511 0.248

The 10 most intense peaks (2θ = 10–90°), by angle:
2θ/deg	d_spacing	Rel. int.
24.13	3.688	24
26.26	3.393	22
32.88	2.724	46
33.52	2.674	100
33.76	2.655	55
47.84	1.901	54
48.41	1.880	27
59.12	1.563	18
60.27	1.536	26
70.43	1.337	17

MgMn2O4: calculated powder XRD pattern (Cu Kα, 1.54184 Å), based on a PBE+U-relaxed structure.
Kinematic intensities with the Lorentz-polarization factor, no thermal factor.

Cell and atoms:
a b c (Å): 3.010 9.918 9.620
angles (deg): 90.00 90.00 90.00
Space group Pbcm (No. 57)
Unique sites:
Mg 0.173 0.147 0.250
Mn 0.297 0.615 0.571
O 0.124 0.250 0.000
O 0.297 0.533 0.115
O 0.322 0.707 0.750

The 10 most intense peaks (2θ = 10–90°), by angle:
2θ/deg	d_spacing	Rel. int.
18.45	4.810	43
31.05	2.880	37
33.27	2.693	100
36.20	2.481	31
40.53	2.226	43
41.68	2.167	63
44.87	2.020	48
57.62	1.600	25
63.19	1.472	27
63.30	1.469	25

La2VZnO6: calculated powder XRD pattern (Cu Kα, 1.54184 Å), based on a PBE+U-relaxed structure.
Kinematic intensities with the Lorentz-polarization factor, no thermal factor.

Cell and atoms:
a b c (Å): 5.6663 5.6663 13.3954
angles (deg): 90.00 90.00 120.00
Space group R-3 (No. 148, hexagonal axes)
Unique sites:
La 0.0000 0.0000 0.2492
V 0.0000 0.0000 0.0000
Zn 0.0000 0.0000 0.5000
O 0.0137 0.5856 0.7477

The 10 most intense peaks (2θ = 10–90°), by angle:
2θ/deg	d_spacing	Rel. int.
22.46	3.958	27
31.58	2.833	98
32.37	2.766	100
39.10	2.304	21
45.85	1.979	58
56.24	1.636	26
56.74	1.622	42
58.22	1.585	18
67.75	1.383	17
76.67	1.243	17

FeOF: calculated powder XRD pattern (Cu Kα, 1.54184 Å), based on a PBE+U-relaxed structure.
Kinematic intensities with the Lorentz-polarization factor, no thermal factor.

Cell and atoms:
a b c (Å): 4.676 5.628 7.888
angles (deg): 85.45 88.72 88.26
Space group P-1 (No. 2)
Unique sites:
Fe 0.000 0.000 0.000
Fe 0.023 0.342 0.690
Fe 0.476 0.176 0.355
Fe 0.500 0.500 0.000
O 0.194 0.288 0.911
O 0.298 0.126 0.576
O 0.309 0.465 0.235
F 0.192 0.631 0.561
F 0.203 0.965 0.226
F 0.298 0.799 0.888

The 10 most intense peaks (2θ = 10–90°), by angle:
2θ/deg	d_spacing	Rel. int.
26.27	3.392	100
27.26	3.271	95
34.22	2.621	25
34.68	2.587	53
34.80	2.578	27
52.17	1.753	16
52.32	1.749	16
54.07	1.696	17
59.52	1.553	17
67.23	1.392	20